Record 1
This entry pairs a crystal structure of TbYMn with its theoretical powder diffraction line list. Radiation: Cu Kα (λ = 1.5418 Å). Structure: a crystal structure in Alexandria, relaxed with PBE.

Top 10 peaks for 15° ≤ 2θ ≤ 90°, by angle:
| d [Å] | I_rel |
| --- | --- |
| 3.375 | 34.0 |
| 3.191 | 18.0 |
| 2.703 | 100.0 |
| 2.475 | 50.3 |
| 2.062 | 18.2 |
| 1.956 | 18.3 |
| 1.750 | 17.3 |
| 1.617 | 10.2 |
| 1.469 | 29.6 |
| 1.341 | 10.7 |

Crystal structure
Lattice parameters (Å, degrees): 3.4999 3.4999 12.7636 90.00 90.00 90.00
Fractional positions:
Tb  0.0000  0.0000  0.0000
Tb  0.5000  0.5000  0.5000
Y  0.0000  0.0000  0.2731
Y  0.5000  0.5000  0.7731
Mn  0.0000  0.0000  0.6357
Mn  0.5000  0.5000  0.1357



Record 2
This entry pairs a crystal structure of SmY4Ho2Sc with its theoretical powder diffraction line list. Radiation: Cu Kα (λ = 1.5418 Å). Structure: a crystal structure in Alexandria, relaxed with PBE.

Top 10 peaks for 15° ≤ 2θ ≤ 90°, by angle:
| d [Å] | I_rel |
| --- | --- |
| 2.882 | 100.0 |
| 2.496 | 50.1 |
| 1.769 | 5.9 |
| 1.764 | 28.9 |
| 1.506 | 27.3 |
| 1.504 | 13.5 |
| 1.442 | 5.9 |
| 1.440 | 5.8 |
| 1.145 | 13.7 |
| 1.116 | 7.7 |

Crystal structure
Lattice parameters (Å, degrees): 6.1084 3.5372 11.6991 90.00 100.07 90.00
Fractional positions:
Sm  0.0000  0.0000  0.0000
Y  0.2451  0.0000  0.7435
Y  0.2515  0.5000  0.2538
Y  0.7485  0.5000  0.7462
Y  0.7549  0.0000  0.2565
Ho  0.5000  0.0000  0.5000
Ho  0.5000  0.5000  0.0000
Sc  0.0000  0.5000  0.5000



Record 3
This entry pairs a crystal structure of Hf3Pt with its theoretical powder diffraction line list. Radiation: Cu Kα (λ = 1.5418 Å). Structure: a crystal structure in Alexandria, relaxed with PBE.

Top 10 peaks for 15° ≤ 2θ ≤ 90°, by angle:
| d [Å] | I_rel |
| --- | --- |
| 2.643 | 100.0 |
| 2.544 | 40.4 |
| 2.414 | 26.5 |
| 2.374 | 62.0 |
| 2.267 | 48.6 |
| 2.117 | 19.9 |
| 1.888 | 17.0 |
| 1.692 | 15.2 |
| 1.342 | 23.0 |
| 1.232 | 17.3 |

Crystal structure
Lattice parameters (Å, degrees): 8.1356 8.1356 8.1356 139.48 96.91 96.87
Fractional positions:
Hf  0.0872  0.5389  0.0390
Hf  0.1477  0.1477  0.0000
Hf  0.1478  0.5000  0.6478
Hf  0.3082  0.1886  0.6890
Hf  0.4999  0.0483  0.9610
Hf  0.5001  0.4611  0.5483
Hf  0.4996  0.6192  0.3110
Hf  0.5004  0.8114  0.1196
Hf  0.6918  0.3808  0.8804
Hf  0.8522  0.5000  0.3522
Hf  0.8523  0.8523  0.0000
Hf  0.9128  0.9517  0.4517
Pt  0.2083  0.0000  0.2083
Pt  0.2083  0.7083  0.5000
Pt  0.7917  0.0000  0.7917
Pt  0.7917  0.2917  0.5000



Record 4
This entry pairs a crystal structure of Ac8Tb3Er2 with its theoretical powder diffraction line list. Radiation: Cu Kα (λ = 1.5418 Å). Structure: a crystal structure in Alexandria, relaxed with PBE.

Top 10 peaks for 15° ≤ 2θ ≤ 90°, by angle:
| d [Å] | I_rel |
| --- | --- |
| 3.123 | 100.0 |
| 3.111 | 98.8 |
| 2.713 | 34.6 |
| 2.693 | 67.2 |
| 1.917 | 13.2 |
| 1.907 | 37.2 |
| 1.631 | 15.3 |
| 1.627 | 22.5 |
| 1.624 | 29.5 |
| 1.204 | 13.7 |

Crystal structure
Lattice parameters (Å, degrees): 6.5900 8.5219 10.1219 65.34 89.89 82.66
Fractional positions:
Ac  0.0826  0.0433  0.3057
Ac  0.1578  0.5813  0.6127
Ac  0.2333  0.1171  0.9191
Ac  0.3103  0.6439  0.2269
Ac  0.6897  0.3561  0.7731
Ac  0.7667  0.8829  0.0809
Ac  0.8422  0.4187  0.3873
Ac  0.9174  0.9567  0.6943
Tb  0.0000  0.5000  0.0000
Tb  0.4607  0.7285  0.8447
Tb  0.5393  0.2715  0.1553
Er  0.3868  0.1812  0.5390
Er  0.6132  0.8188  0.4610



Record 5
This entry pairs a crystal structure of Ac2IO7 with its theoretical powder diffraction line list. Radiation: Cu Kα (λ = 1.5418 Å). Structure: a crystal structure in Alexandria, relaxed with PBE.

Top 10 peaks for 15° ≤ 2θ ≤ 90°, by angle:
| d [Å] | I_rel |
| --- | --- |
| 5.448 | 24.1 |
| 3.577 | 87.2 |
| 3.503 | 100.0 |
| 3.382 | 57.5 |
| 2.964 | 90.4 |
| 2.954 | 32.9 |
| 2.748 | 47.3 |
| 2.314 | 27.5 |
| 1.924 | 29.9 |
| 1.903 | 27.2 |

Crystal structure
Lattice parameters (Å, degrees): 7.1496 7.1496 9.1611 123.78 123.78 54.18
Fractional positions:
Ac  0.0129  0.2857  0.2290
Ac  0.2857  0.0129  0.7290
Ac  0.7143  0.9871  0.2710
Ac  0.9871  0.7143  0.7710
I  0.3025  0.6975  0.2500
I  0.6975  0.3025  0.7500
O  0.0556  0.1133  0.9230
O  0.1133  0.0556  0.4230
O  0.1530  0.6085  0.3053
O  0.2583  0.4594  0.9962
O  0.3920  0.6080  0.7500
O  0.3915  0.8470  0.1947
O  0.4594  0.2583  0.4962
O  0.5406  0.7417  0.5038
O  0.6085  0.1530  0.8053
O  0.6080  0.3920  0.2500
O  0.7417  0.5406  0.0038
O  0.8470  0.3915  0.6947
O  0.8867  0.9444  0.5770
O  0.9444  0.8867  0.0770



Record 6
This entry pairs a crystal structure of Sc4ZnCuAu2 with its theoretical powder diffraction line list. Radiation: Cu Kα (λ = 1.5418 Å). Structure: a crystal structure in Alexandria, relaxed with PBE.

Top 10 peaks for 15° ≤ 2θ ≤ 90°, by angle:
| d [Å] | I_rel |
| --- | --- |
| 3.884 | 29.6 |
| 3.363 | 30.8 |
| 2.378 | 100.0 |
| 2.028 | 16.3 |
| 1.942 | 9.5 |
| 1.682 | 16.7 |
| 1.504 | 12.8 |
| 1.374 | 25.2 |
| 1.371 | 8.0 |
| 1.121 | 5.4 |

Crystal structure
Lattice parameters (Å, degrees): 8.2282 8.2282 8.2282 33.63 33.63 33.63
Fractional positions:
Sc  0.1226  0.1226  0.1226
Sc  0.3729  0.3729  0.3729
Sc  0.6271  0.6271  0.6271
Sc  0.8774  0.8774  0.8774
Zn  0.5000  0.5000  0.5000
Cu  0.0000  0.0000  0.0000
Au  0.2476  0.2476  0.2476
Au  0.7524  0.7524  0.7524



Record 7
This entry pairs a crystal structure of Cs3TbO3 with its theoretical powder diffraction line list. Radiation: Cu Kα (λ = 1.5418 Å). Structure: a crystal structure in Alexandria, relaxed with PBE.

Top 10 peaks for 15° ≤ 2θ ≤ 90°, by angle:
| d [Å] | I_rel |
| --- | --- |
| 5.496 | 25.5 |
| 3.574 | 42.1 |
| 3.534 | 29.7 |
| 3.355 | 86.2 |
| 3.294 | 100.0 |
| 3.264 | 88.0 |
| 3.030 | 25.5 |
| 2.581 | 26.3 |
| 2.570 | 25.7 |
| 1.832 | 52.1 |

Crystal structure
Lattice parameters (Å, degrees): 7.6447 7.6447 7.7765 95.57 95.57 117.23
Fractional positions:
Cs  0.2169  0.7831  0.0000
Cs  0.2622  0.7378  0.5000
Cs  0.3546  0.3546  0.1483
Cs  0.6454  0.6454  0.8517
Cs  0.7378  0.2622  0.5000
Cs  0.7831  0.2169  0.0000
Tb  0.1717  0.1717  0.6531
Tb  0.8283  0.8283  0.3469
O  0.1081  0.1081  0.3638
O  0.1643  0.4353  0.7668
O  0.4353  0.1643  0.7668
O  0.5647  0.8357  0.2332
O  0.8357  0.5647  0.2332
O  0.8919  0.8919  0.6362



Record 8
This entry pairs a crystal structure of La2Y2Er15 with its theoretical powder diffraction line list. Radiation: Cu Kα (λ = 1.5418 Å). Structure: a crystal structure in Alexandria, relaxed with PBE.

Top 10 peaks for 15° ≤ 2θ ≤ 90°, by angle:
| d [Å] | I_rel |
| --- | --- |
| 5.584 | 29.7 |
| 3.238 | 28.1 |
| 3.224 | 23.1 |
| 2.906 | 34.8 |
| 2.828 | 38.4 |
| 2.819 | 83.6 |
| 2.792 | 45.6 |
| 2.517 | 100.0 |
| 1.619 | 24.7 |
| 1.612 | 29.2 |

Crystal structure
Lattice parameters (Å, degrees): 8.6808 8.6808 8.6808 80.08 80.08 80.08
Fractional positions:
La  0.1173  0.1173  0.1173
La  0.8827  0.8827  0.8827
Y  0.3312  0.3312  0.3312
Y  0.6688  0.6688  0.6688
Er  0.0000  0.0000  0.5000
Er  0.0000  0.3062  0.6938
Er  0.0000  0.5000  0.0000
Er  0.0000  0.6938  0.3062
Er  0.1540  0.6322  0.6322
Er  0.3062  0.0000  0.6938
Er  0.3062  0.6938  0.0000
Er  0.3678  0.3678  0.8460
Er  0.3678  0.8460  0.3678
Er  0.5000  0.0000  0.0000
Er  0.6322  0.1540  0.6322
Er  0.6322  0.6322  0.1540
Er  0.6938  0.0000  0.3062
Er  0.6938  0.3062  0.0000
Er  0.8460  0.3678  0.3678



Record 9
This entry pairs a crystal structure of La12Y5Ho2 with its theoretical powder diffraction line list. Radiation: Cu Kα (λ = 1.5418 Å). Structure: a crystal structure in Alexandria, relaxed with PBE.

Top 10 peaks for 15° ≤ 2θ ≤ 90°, by angle:
| d [Å] | I_rel |
| --- | --- |
| 2.970 | 100.0 |
| 2.647 | 38.3 |
| 2.438 | 13.2 |
| 1.872 | 12.7 |
| 1.793 | 19.8 |
| 1.584 | 27.8 |
| 1.491 | 9.1 |
| 1.485 | 10.3 |
| 1.209 | 5.1 |
| 1.166 | 7.3 |

Crystal structure
Lattice parameters (Å, degrees): 13.5515 13.5515 13.5515 157.45 134.05 51.77
Fractional positions:
La  0.0488  0.8049  0.2439
La  0.0857  0.0857  0.0000
La  0.1497  0.4068  0.7429
La  0.3361  0.5932  0.7429
La  0.3985  0.8985  0.5000
La  0.4390  0.1951  0.2439
La  0.5610  0.8049  0.7561
La  0.6015  0.1015  0.5000
La  0.6639  0.4068  0.2571
La  0.8503  0.5932  0.2571
La  0.9143  0.9143  0.0000
La  0.9512  0.1951  0.7561
Y  0.1986  0.6986  0.5000
Y  0.3008  0.3008  0.0000
Y  0.5000  0.5000  0.0000
Y  0.6992  0.6992  0.0000
Y  0.8014  0.3014  0.5000
Ho  0.2808  0.0000  0.2808
Ho  0.7192  0.0000  0.7192



Record 10
This entry pairs a crystal structure of NiSe with its theoretical powder diffraction line list. Radiation: Cu Kα (λ = 1.5418 Å). Structure: a crystal structure in Alexandria, relaxed with PBE.

Top 10 peaks for 15° ≤ 2θ ≤ 90°, by angle:
| d [Å] | I_rel |
| --- | --- |
| 3.199 | 62.8 |
| 2.887 | 62.6 |
| 2.288 | 100.0 |
| 1.861 | 51.2 |
| 1.781 | 78.8 |
| 1.618 | 32.6 |
| 1.444 | 21.6 |
| 1.411 | 13.4 |
| 1.197 | 40.7 |
| 1.190 | 18.9 |

Crystal structure
Lattice parameters (Å, degrees): 3.2355 3.2355 6.3974 90.00 90.00 90.00
Fractional positions:
Ni  0.0000  0.0000  0.0000
Ni  0.5000  0.5000  0.5000
Se  0.0000  0.0000  0.3724
Se  0.5000  0.5000  0.8724



Record 11
This entry pairs a crystal structure of YTe2HN with its theoretical powder diffraction line list. Radiation: Cu Kα (λ = 1.5418 Å). Structure: a crystal structure in Alexandria, relaxed with PBE.

Top 10 peaks for 15° ≤ 2θ ≤ 90°, by angle:
| d [Å] | I_rel |
| --- | --- |
| 5.539 | 18.9 |
| 3.916 | 29.1 |
| 2.769 | 76.8 |
| 2.398 | 100.0 |
| 2.045 | 10.9 |
| 1.958 | 27.4 |
| 1.517 | 52.3 |
| 1.330 | 14.9 |
| 1.239 | 11.7 |
| 1.199 | 21.1 |

Crystal structure
Lattice parameters (Å, degrees): 5.5387 5.5387 3.0331 90.00 90.00 90.00
Fractional positions:
Y  0.0000  0.0000  0.0000
Te  0.0000  0.5000  0.5000
Te  0.5000  0.0000  0.5000
H  0.5000  0.5000  0.5000
N  0.5000  0.5000  0.0000



Record 12
This entry pairs a crystal structure of AcTb4Ho4 with its theoretical powder diffraction line list. Radiation: Cu Kα (λ = 1.5418 Å). Structure: a crystal structure in Alexandria, relaxed with PBE.

Top 10 peaks for 15° ≤ 2θ ≤ 90°, by angle:
| d [Å] | I_rel |
| --- | --- |
| 3.005 | 38.9 |
| 2.875 | 26.7 |
| 2.866 | 25.7 |
| 2.842 | 100.0 |
| 2.796 | 47.1 |
| 2.773 | 49.9 |
| 1.929 | 21.4 |
| 1.789 | 14.0 |
| 1.623 | 15.9 |
| 1.513 | 22.5 |

Crystal structure
Lattice parameters (Å, degrees): 6.8411 8.7274 10.7329 78.32 74.74 76.42
Fractional positions:
Ac  0.2500  0.0272  0.2849
Ac  0.7500  0.9728  0.7151
Tb  0.1111  0.6583  0.2047
Tb  0.1139  0.6575  0.5375
Tb  0.1184  0.6635  0.8723
Tb  0.4185  0.3356  0.0378
Tb  0.5815  0.6644  0.9622
Tb  0.8816  0.3365  0.1277
Tb  0.8861  0.3425  0.4625
Tb  0.8889  0.3417  0.7953
Ho  0.2514  0.0255  0.9500
Ho  0.2651  0.0237  0.6225
Ho  0.4118  0.3366  0.7080
Ho  0.4197  0.3379  0.3756
Ho  0.5803  0.6621  0.6244
Ho  0.5882  0.6634  0.2920
Ho  0.7349  0.9763  0.3775
Ho  0.7486  0.9745  0.0500



- Number 4 is which compound?
  Ac8Tb3Er2